Entry 1:
# AcPm2Pr2Nd
Calculated powder diffraction line list, a wavelength of 1.5418 Å. Input: a crystal structure in Alexandria, relaxed with GGA-PBE.
Intensities are scaled so that the largest is 100.

Principal peaks in the range 5° ≤ 2θ ≤ 70°, in order of rising 2θ:
d_spacing, I_rel
2.976, 100
2.946, 34
2.935, 67
2.093, 25
2.088, 12
1.834, 9
1.707, 13
1.702, 26
1.699, 14
1.556, 30

Atomic structure:
```
AcPm2Pr2Nd
1.0
7.3356 0.0000 0.0000
0.0000 5.8921 0.0000
0.0000 0.0000 10.1567
Ac Pm Pr Nd
2 4 4 2
Cartesian
0.0000 0.0000 0.0000
3.6678 0.0000 0.0000
1.8339 0.0000 3.4074
1.8339 2.9461 8.4331
5.5017 0.0000 6.7492
5.5017 2.9461 1.7235
0.0000 2.9461 5.0783
1.8339 0.0000 6.7499
3.6678 2.9461 5.0783
5.5017 0.0000 3.4068
1.8339 2.9461 1.7200
5.5017 2.9461 8.4367
```

Entry 2:
# Ac6Pm3PrNd2
Calculated powder diffraction line list, a wavelength of 1.5418 Å. Input: a crystal structure in Alexandria, relaxed with GGA-PBE.
Intensities are scaled so that the largest is 100.

Principal peaks in the range 5° ≤ 2θ ≤ 70°, in order of rising 2θ:
d_spacing, I_rel
3.144, 100
3.063, 31
2.704, 67
1.931, 26
1.894, 24
1.646, 15
1.634, 30
1.611, 14
1.572, 13
1.352, 8

Atomic structure:
```
Ac6Pm3PrNd2
1.0
3.3433 -5.7980 0.0000
3.3433 5.7980 0.0000
-2.2334 0.0000 12.2516
Ac Pm Pr Nd
6 3 1 2
Cartesian
-0.0011 1.9340 9.2040
1.1130 0.0000 3.0456
-0.0011 -1.9340 9.2040
4.4543 1.9340 3.0476
3.3401 0.0000 9.2060
4.4543 -1.9340 3.0476
3.3433 3.8642 0.0000
3.3433 0.0000 0.0000
3.3433 -3.8642 0.0000
-1.1167 0.0000 6.1258
2.2266 1.9314 6.1258
2.2266 -1.9314 6.1258
```